# SmC2
Calculated powder X-ray diffraction pattern, a wavelength of 1.5418 Å. Input: DFT lattice parameters and positions (GGA-PBE).

Largest 12 diffraction maxima, by intensity, 15 to 90 degrees two-theta:
two_theta  I (rel.)
27.44  100.0
33.54  50.9
44.23  38.7
27.98  34.0
56.32  29.4
49.18  28.7
71.29  18.7
56.63  18.5
48.16  17.7
87.10  11.2
68.54  8.2
79.28  7.9

Atomic structure:
```
SmC2
1.0
3.7786 0.0000 0.0000
0.0000 3.7786 0.0000
0.0000 0.0000 6.3771
Sm C
2 4
Direct
0.0000 0.0000 0.0000
0.5000 0.5000 0.5000
0.0000 0.0000 0.3981
0.0000 0.0000 0.6019
0.5000 0.5000 0.1019
0.5000 0.5000 0.8981
```



# Sm2C
Calculated powder X-ray diffraction pattern, a wavelength of 1.5418 Å. Input: DFT lattice parameters and positions (GGA-PBE).

Largest 12 diffraction maxima, by intensity, 15 to 90 degrees two-theta:
two_theta  I (rel.)
29.71  100.0
33.85  77.7
27.65  33.6
49.93  27.8
58.03  26.1
47.30  23.5
59.18  14.6
61.69  13.5
81.02  11.9
83.23  11.7
55.67  10.1
43.47  10.1

Atomic structure:
```
Sm2C
1.0
3.6532 0.0000 0.0000
-1.8266 3.1637 0.0000
0.0000 0.0000 19.3564
Sm C
6 3
Direct
0.0000 0.0000 0.2387
0.0000 0.0000 0.7613
0.3333 0.6667 0.4279
0.3333 0.6667 0.9054
0.6667 0.3333 0.0946
0.6667 0.3333 0.5721
0.0000 0.0000 0.5000
0.3333 0.6667 0.1667
0.6667 0.3333 0.8333
```



# SnC
Calculated powder X-ray diffraction pattern, a wavelength of 1.5418 Å. Input: DFT lattice parameters and positions (GGA-PBE).

Largest 7 diffraction maxima, by intensity, 15 to 90 degrees two-theta:
two_theta  I (rel.)
32.37  100.0
37.55  72.1
54.16  49.9
64.52  46.3
89.10  21.6
67.77  17.2
80.15  8.4

Atomic structure:
```
SnC
1.0
4.7901 0.0000 0.0000
0.0000 4.7901 0.0000
0.0000 0.0000 4.7901
Sn C
4 4
Direct
0.0000 0.0000 0.0000
0.0000 0.5000 0.5000
0.5000 0.0000 0.5000
0.5000 0.5000 0.0000
0.0000 0.0000 0.5000
0.0000 0.5000 0.0000
0.5000 0.0000 0.0000
0.5000 0.5000 0.5000
```



# SnC
Calculated powder X-ray diffraction pattern, a wavelength of 1.5418 Å. Input: DFT lattice parameters and positions (GGA-PBE).

Largest 8 diffraction maxima, by intensity, 15 to 90 degrees two-theta:
two_theta  I (rel.)
30.44  100.0
60.35  44.8
50.77  42.3
35.29  42.2
82.70  19.6
85.34  16.3
63.34  11.4
74.64  7.0

Atomic structure:
```
SnC
1.0
5.0866 0.0000 0.0000
0.0000 5.0866 0.0000
0.0000 0.0000 5.0866
Sn C
4 4
Direct
0.0000 0.0000 0.0000
0.0000 0.5000 0.5000
0.5000 0.0000 0.5000
0.5000 0.5000 0.0000
0.2500 0.2500 0.7500
0.2500 0.7500 0.2500
0.7500 0.2500 0.2500
0.7500 0.7500 0.7500
```



# Ti3SnC2
Calculated powder X-ray diffraction pattern, a wavelength of 1.5418 Å. Input: DFT lattice parameters and positions (GGA-PBE).

Largest 12 diffraction maxima, by intensity, 15 to 90 degrees two-theta:
two_theta  I (rel.)
38.18  100.0
58.61  22.5
38.44  20.4
32.83  19.5
34.23  19.1
72.29  18.6
69.36  15.9
51.43  15.6
72.12  14.8
18.95  9.2
40.92  8.3
33.18  7.8

Atomic structure:
```
Ti3SnC2
1.0
3.1503 0.0000 0.0000
-1.5751 2.7282 0.0000
0.0000 0.0000 18.7327
Ti Sn C
6 2 4
Direct
0.0000 0.0000 0.0000
0.0000 0.0000 0.5000
0.3333 0.6667 0.1238
0.3333 0.6667 0.3762
0.6667 0.3333 0.6238
0.6667 0.3333 0.8762
0.0000 0.0000 0.2500
0.0000 0.0000 0.7500
0.3333 0.6667 0.5683
0.3333 0.6667 0.9317
0.6667 0.3333 0.0683
0.6667 0.3333 0.4317
```



# Tm3SnC
Calculated powder X-ray diffraction pattern, a wavelength of 1.5418 Å. Input: DFT lattice parameters and positions (GGA-PBE).

Largest 12 diffraction maxima, by intensity, 15 to 90 degrees two-theta:
two_theta  I (rel.)
16.04  100.0
32.42  97.5
27.98  72.8
46.50  71.9
36.37  55.3
77.24  32.8
55.14  32.6
49.50  29.5
86.27  25.4
57.82  25.2
70.26  17.1
60.42  13.2

Atomic structure:
```
Tm3SnC
1.0
5.5240 0.0000 0.0000
0.0000 5.5240 0.0000
0.0000 0.0000 5.5240
Tm Sn C
3 1 1
Direct
0.0000 0.0000 0.5000
0.0000 0.5000 0.0000
0.5000 0.0000 0.0000
0.0000 0.0000 0.0000
0.5000 0.5000 0.5000
```



# Y3SnC
Calculated powder X-ray diffraction pattern, a wavelength of 1.5418 Å. Input: DFT lattice parameters and positions (GGA-PBE).

Largest 12 diffraction maxima, by intensity, 15 to 90 degrees two-theta:
two_theta  I (rel.)
31.63  100.0
36.68  55.8
62.91  41.4
52.85  38.3
89.44  17.7
86.60  17.4
66.05  12.9
78.00  6.0
25.71  2.9
45.34  1.4
72.13  0.8
59.67  0.6

Atomic structure:
```
Y3SnC
1.0
4.8999 0.0000 0.0000
0.0000 4.8999 0.0000
0.0000 0.0000 4.8999
Y Sn C
3 1 1
Direct
0.0000 0.0000 0.5000
0.0000 0.5000 0.0000
0.5000 0.0000 0.0000
0.5000 0.5000 0.5000
0.0000 0.0000 0.0000
```



# Zr2SnC
Calculated powder X-ray diffraction pattern, a wavelength of 1.5418 Å. Input: DFT lattice parameters and positions (GGA-PBE).

Largest 12 diffraction maxima, by intensity, 15 to 90 degrees two-theta:
two_theta  I (rel.)
35.70  100.0
30.58  21.7
54.35  20.9
67.21  19.7
36.44  19.6
65.10  17.2
66.74  15.9
48.28  15.8
89.78  7.7
75.63  4.1
63.66  2.8
85.47  2.5

Atomic structure:
```
Zr2SnC
1.0
3.3758 0.0000 0.0000
-1.6879 2.9235 0.0000
0.0000 0.0000 14.7946
Zr Sn C
4 2 2
Direct
0.3333 0.6667 0.0852
0.3333 0.6667 0.4148
0.6667 0.3333 0.5852
0.6667 0.3333 0.9148
0.3333 0.6667 0.7500
0.6667 0.3333 0.2500
0.0000 0.0000 0.0000
0.0000 0.0000 0.5000
```